No. 1
For GaF, a DFT-relaxed cell (GGA-PBE, Alexandria) gives the computed X-ray powder pattern in this record (copper Kα).

Atomic structure:
```
12
Lattice="9.275 0.000 0.000 0.000 5.219 0.000 0.000 0.000 4.787" Properties=species:S:1:pos:R:3 pbc="T T T"
Ga 0.000 0.358 0.000
Ga 1.982 2.871 3.281
Ga 2.656 2.348 0.887
Ga 4.638 4.860 2.394
Ga 6.620 2.348 0.887
Ga 7.293 2.871 3.281
F 0.000 2.235 3.275
F 1.397 4.716 3.467
F 3.241 0.503 1.073
F 4.638 2.984 0.882
F 6.034 0.503 1.073
F 7.879 4.716 3.467
```

Most intense lines, 2θ from 10° to 90°, low angle first:
- 20.9°, I 49
- 25.7°, I 100
- 27.0°, I 51
- 34.4°, I 33
- 34.5°, I 40
- 41.5°, I 33

---

No. 2
For Li2Ho5Sn5, a DFT-relaxed cell (GGA-PBE, Alexandria) gives the computed X-ray powder pattern in this record (copper Kα).

Atomic structure:
```
12
Lattice="5.854 -2.346 0.000 5.854 2.346 0.000 -5.074 0.000 11.250" Properties=species:S:1:pos:R:3 pbc="T T T"
Li 1.263 0.000 3.211
Li 5.372 0.000 8.039
Ho -2.706 0.000 8.761
Ho -0.745 0.000 5.521
Ho 5.854 0.000 0.000
Ho 7.379 0.000 5.728
Ho 9.340 0.000 2.488
Sn 2.162 0.000 0.672
Sn 0.962 0.000 8.080
Sn 3.317 0.000 5.625
Sn 5.673 0.000 3.169
Sn 4.472 0.000 10.577
```

Most intense lines, 2θ from 10° to 90°, low angle first:
- 30.3°, I 95
- 31.6°, I 79
- 31.8°, I 67
- 34.2°, I 100
- 36.9°, I 53
- 38.4°, I 77

---

No. 3
For YPu3Ni8, a DFT-relaxed cell (GGA-PBE, Alexandria) gives the computed X-ray powder pattern in this record (copper Kα).

Atomic structure:
```
12
Lattice="2.528 1.459 8.252 -2.528 1.459 8.252 0.000 -2.919 8.252" Properties=species:S:1:pos:R:3 pbc="T T T"
Y 0.000 0.000 0.000
Pu 0.000 0.000 3.148
Pu 0.000 0.000 12.299
Pu 0.000 0.000 15.347
Ni -1.270 -0.733 9.755
Ni 0.000 -1.463 5.650
Ni -1.267 0.732 5.650
Ni 0.000 0.000 7.697
Ni 1.270 -0.733 9.755
Ni 1.267 0.732 5.649
Ni 0.000 1.467 9.755
Ni 0.000 0.000 20.073
```

Most intense lines, 2θ from 10° to 90°, low angle first:
- 21.5°, I 26
- 35.5°, I 72
- 41.9°, I 100
- 63.8°, I 27
- 68.2°, I 31
- 75.2°, I 21

---

No. 4
For TlCuAs, a DFT-relaxed cell (GGA-PBE, Alexandria) gives the computed X-ray powder pattern in this record (copper Kα).

Atomic structure:
```
3
Lattice="4.110 0.000 0.000 -2.055 3.559 0.000 0.000 0.000 4.738" Properties=species:S:1:pos:R:3 pbc="T T T"
Tl 0.000 0.000 0.000
Cu 0.000 2.373 2.377
As 2.055 1.186 2.367
```

Most intense lines, 2θ from 10° to 90°, low angle first:
- 25.0°, I 19
- 31.4°, I 100
- 44.1°, I 32
- 55.1°, I 21
- 59.6°, I 26
- 73.1°, I 18

---

No. 5
For Sm3I3N, a DFT-relaxed cell (GGA-PBE, Alexandria) gives the computed X-ray powder pattern in this record (copper Kα).

Atomic structure:
```
14
Lattice="8.780 0.000 0.000 0.000 3.932 0.000 -0.459 0.000 12.195" Properties=species:S:1:pos:R:3 pbc="T T T"
Sm 0.530 0.983 4.946
Sm 0.624 0.983 9.804
Sm 2.308 2.949 7.486
Sm 6.012 0.983 4.709
Sm 7.696 2.949 2.391
Sm 7.791 2.949 7.249
I 1.204 0.983 1.611
I 2.903 2.949 10.587
I 3.211 2.949 4.485
I 5.110 0.983 7.710
I 5.418 0.983 1.608
I 7.117 2.949 10.584
N 0.697 0.983 7.415
N 7.624 2.949 4.780
```

Most intense lines, 2θ from 10° to 90°, low angle first:
- 29.3°, I 40
- 30.5°, I 100
- 31.7°, I 28
- 33.0°, I 22
- 42.3°, I 18
- 46.2°, I 18

---

No. 6
For Ho3Te3I, a DFT-relaxed cell (GGA-PBE, Alexandria) gives the computed X-ray powder pattern in this record (copper Kα).

Atomic structure:
```
7
Lattice="4.326 0.000 0.000 0.000 4.326 0.000 0.000 0.000 12.091" Properties=species:S:1:pos:R:3 pbc="T T T"
Ho 0.000 0.000 0.000
Ho 2.163 2.163 3.035
Ho 2.163 2.163 9.056
Te 0.000 0.000 3.130
Te 0.000 0.000 8.960
Te 2.163 2.163 0.000
I 2.163 2.163 6.045
```

Most intense lines, 2θ from 10° to 90°, low angle first:
- 29.2°, I 100
- 29.6°, I 48
- 41.8°, I 38
- 42.0°, I 73
- 52.0°, I 39
- 76.4°, I 25

---

No. 7
For Ba3BiPb2O9, a DFT-relaxed cell (GGA-PBE, Alexandria) gives the computed X-ray powder pattern in this record (copper Kα).

Atomic structure:
```
30
Lattice="6.176 0.000 0.000 0.032 6.180 0.000 3.027 3.004 13.143" Properties=species:S:1:pos:R:3 pbc="T T T"
Ba 1.511 1.506 4.437
Ba 4.595 4.567 13.118
Ba 4.583 4.548 8.755
Ba 4.652 4.636 4.387
Ba 4.640 4.617 0.025
Ba 7.724 7.678 8.705
Bi 1.554 4.622 2.190
Bi 7.681 4.562 10.953
Pb 1.529 4.592 6.571
Pb 4.607 7.654 10.938
Pb 4.601 1.502 6.571
Pb 4.628 1.530 2.204
O 2.836 2.837 11.257
O 1.328 4.831 4.358
O 3.266 5.878 10.967
O 2.843 6.374 6.569
O 1.782 4.412 0.007
O 3.285 3.267 6.291
O 2.872 2.880 2.461
O 4.381 7.902 8.766
O 3.316 5.933 2.184
O 5.918 3.251 10.958
O 4.853 1.282 4.377
O 6.363 6.304 10.682
O 5.950 5.917 6.851
O 7.453 4.772 13.136
O 6.391 2.810 6.574
O 5.969 3.306 2.176
O 7.907 4.353 8.785
O 6.398 6.347 1.886
```

Most intense lines, 2θ from 10° to 90°, low angle first:
- 28.7°, I 19
- 28.9°, I 100
- 41.2°, I 22
- 51.0°, I 18
- 51.3°, I 26
- 59.9°, I 13

---

No. 8
For Cu2Pt7, a DFT-relaxed cell (GGA-PBE, Alexandria) gives the computed X-ray powder pattern in this record (copper Kα).

Atomic structure:
```
9
Lattice="4.780 0.000 0.000 -2.390 4.140 0.000 0.000 0.000 6.823" Properties=species:S:1:pos:R:3 pbc="T T T"
Cu 0.000 2.760 0.000
Cu 2.390 1.380 0.000
Pt 0.000 0.000 0.000
Pt -0.799 1.384 4.610
Pt -1.591 2.756 2.213
Pt 1.598 0.000 4.610
Pt 0.799 1.384 2.213
Pt 3.182 0.000 2.213
Pt 1.591 2.756 4.610
```

Most intense lines, 2θ from 10° to 90°, low angle first:
- 39.6°, I 32
- 40.0°, I 100
- 46.4°, I 63
- 67.5°, I 22
- 67.9°, I 20
- 81.6°, I 24